This entry pairs a crystal structure of Pr2Y3Tm7 with its simulated XRD peak list. Radiation: Cu Ka. Structure: a structure optimized by DFT (PBE).
Neutral-atom scattering factors, no anomalous dispersion.

Cell and atoms:
Cell: 18.989 18.989 3.617 Å, 90.00 90.00 162.88°
Element x y z (fractional)
Pr: 0.146 0.854 0.000
Pr: 0.854 0.146 0.000
Y: 0.314 0.686 0.500
Y: 0.500 0.500 0.500
Y: 0.686 0.314 0.500
Tm: 0.000 0.000 0.000
Tm: 0.070 0.930 0.500
Tm: 0.230 0.770 0.000
Tm: 0.412 0.588 0.000
Tm: 0.588 0.412 0.000
Tm: 0.770 0.230 0.000
Tm: 0.930 0.070 0.500

Largest 8 diffraction maxima, most intense first, 2θ from 5° to 70°:
2θ 31.68, I = 1000; 2θ 33.83, I = 280; 2θ 30.59, I = 243; 2θ 34.87, I = 170; 2θ 31.22, I = 169; 2θ 45.05, I = 123; 2θ 56.40, I = 121; 2θ 60.80, I = 119